For Tl, a structure optimized by DFT (GGA-PBE) gives the theoretical powder X-ray diffraction pattern in this record (Cu Kα, 1.54184 Å).
Neutral-atom scattering factors, no anomalous dispersion.

Atomic structure:
```
Tl
1.0
-1.7597 1.7597 2.4689
1.7597 -1.7597 2.4689
1.7597 1.7597 -2.4689
Tl
1
Direct
0.0000 0.0000 0.0000
```

Top 8 peaks for 2θ from 10° to 80°, in order of rising 2θ:
d [Å], I_rel
2.866, 1000
2.489, 341
2.469, 167
1.760, 123
1.753, 243
1.500, 293
1.491, 144
1.433, 126


For Tl, a structure optimized by DFT (GGA-PBE) gives the theoretical powder X-ray diffraction pattern in this record (Cu Kα, 1.54184 Å).
Neutral-atom scattering factors, no anomalous dispersion.

Atomic structure:
```
Tl
1.0
-6.1114 6.1114 6.1114
6.1114 -6.1114 6.1114
6.1114 6.1114 -6.1114
Tl
29
Direct
0.0000 0.0000 0.0000
0.0000 0.0000 0.6320
0.0000 0.1895 0.3718
0.0000 0.3718 0.1895
0.0000 0.4002 0.6804
0.0000 0.6320 0.0000
0.0000 0.6804 0.4002
0.1823 0.8105 0.8105
0.1895 0.0000 0.3718
0.1895 0.3718 0.0000
0.2802 0.5998 0.5998
0.3196 0.3196 0.7198
0.3196 0.7198 0.3196
0.3680 0.3680 0.3680
0.3718 0.0000 0.1895
0.3718 0.1895 0.0000
0.4002 0.0000 0.6804
0.4002 0.6804 0.0000
0.5998 0.2802 0.5998
0.5998 0.5998 0.2802
0.6282 0.6282 0.8177
0.6282 0.8177 0.6282
0.6320 0.0000 0.0000
0.6804 0.0000 0.4002
0.6804 0.4002 0.0000
0.7198 0.3196 0.3196
0.8105 0.1823 0.8105
0.8105 0.8105 0.1823
0.8177 0.6282 0.6282
```

Top 8 peaks for 2θ from 10° to 80°, in order of rising 2θ:
d [Å], I_rel
2.881, 1000
2.606, 293
2.495, 104
2.397, 149
1.764, 65
1.729, 109
1.663, 309
1.440, 101


For Tl, a structure optimized by DFT (GGA-PBE) gives the theoretical powder X-ray diffraction pattern in this record (Cu Kα, 1.54184 Å).
Neutral-atom scattering factors, no anomalous dispersion.

Atomic structure:
```
Tl
1.0
5.4135 0.0000 0.0000
-2.7068 4.6883 0.0000
0.0000 0.0000 3.2037
Tl
2
Direct
0.3333 0.6667 0.0000
0.6667 0.3333 0.0000
```

Top 8 peaks for 2θ from 10° to 80°, in order of rising 2θ:
d [Å], I_rel
4.688, 981
3.204, 519
2.707, 1000
2.645, 470
2.068, 936
1.563, 195
1.405, 275
1.379, 258